[1]
Starting from DFT lattice parameters and positions (GGA-PBE), the XRD peak list of SiO2 was simulated for Cu Kα (λ = 1.5418 Å).
Peak positions follow from Bragg's law for the DFT cell and can differ from measured ones.

Structure:
```
data_SiO2
_chemical_formula_sum 'Si4 O8'
_cell_length_a 6.7043
_cell_length_b 6.7043
_cell_length_c 6.7043
_cell_angle_alpha 98.06
_cell_angle_beta 98.06
_cell_angle_gamma 136.01
_symmetry_space_group_name_H-M 'P 1'
_symmetry_Int_Tables_number 1
_symmetry_space_group_name_Hall 'P 1'
loop_
_atom_site_label
_atom_site_fract_x
_atom_site_fract_y
_atom_site_fract_z
_atom_site_occupancy
Si1 0.5541 0.4061 0.4979 1
Si2 0.5939 0.0918 0.1480 1
Si3 0.9082 0.0562 0.5021 1
Si4 0.9438 0.4459 0.8520 1
O1 0.2575 0.2347 0.5692 1
O2 0.3117 0.7425 0.9772 1
O3 0.4589 0.1580 0.2924 1
O4 0.6655 0.6883 0.4308 1
O5 0.7653 0.3345 0.0228 1
O6 0.8335 0.5411 0.6991 1
O7 0.8420 0.1344 0.3009 1
O8 0.8656 0.1665 0.7076 1
```

The 10 most intense peaks (10 to 90 degrees two-theta), most intense first:
- 20.20°, rel. 100
- 20.37°, rel. 97
- 35.47°, rel. 41
- 14.25°, rel. 24
- 28.84°, rel. 24
- 55.36°, rel. 17
- 32.20°, rel. 13
- 48.88°, rel. 10
- 74.88°, rel. 8
- 41.13°, rel. 8


[2]
Starting from DFT lattice parameters and positions (GGA-PBE), the XRD peak list of CeTiNbO6 was simulated for Cu Kα (λ = 1.5418 Å).
Peak positions follow from Bragg's law for the DFT cell and can differ from measured ones.

Structure:
```
data_CeTiNbO6
_chemical_formula_sum 'Ce4 Ti4 Nb4 O24'
_cell_length_a 11.1803
_cell_length_b 5.3573
_cell_length_c 7.5521
_cell_angle_alpha 90.00
_cell_angle_beta 90.00
_cell_angle_gamma 90.00
_symmetry_space_group_name_H-M 'P 1'
_symmetry_Int_Tables_number 1
_symmetry_space_group_name_Hall 'P 1'
loop_
_atom_site_label
_atom_site_fract_x
_atom_site_fract_y
_atom_site_fract_z
_atom_site_occupancy
Ce1 0.0419 0.0474 0.0000 1
Ce2 0.4581 0.5474 0.5000 1
Ce3 0.5419 0.4526 0.0000 1
Ce4 0.9581 0.9526 0.5000 1
Ti1 0.1413 0.5281 0.7417 1
Ti2 0.3587 0.0281 0.2417 1
Ti3 0.6413 0.9719 0.7417 1
Ti4 0.8587 0.4719 0.2417 1
Nb1 0.1472 0.5336 0.2559 1
Nb2 0.3528 0.0336 0.7559 1
Nb3 0.6472 0.9664 0.2559 1
Nb4 0.8528 0.4664 0.7559 1
O1 0.0247 0.2652 0.2903 1
O2 0.0262 0.2617 0.7104 1
O3 0.1187 0.6599 0.5032 1
O4 0.1446 0.4383 0.9978 1
O5 0.2091 0.8668 0.8148 1
O6 0.2120 0.8746 0.1885 1
O7 0.2880 0.3746 0.6885 1
O8 0.2909 0.3668 0.3148 1
O9 0.3554 0.9383 0.4978 1
O10 0.3813 0.1599 0.0032 1
O11 0.4738 0.7617 0.2104 1
O12 0.4753 0.7652 0.7903 1
O13 0.5247 0.2348 0.2903 1
O14 0.5262 0.2383 0.7104 1
O15 0.6187 0.8401 0.5032 1
O16 0.6446 0.0617 0.9978 1
O17 0.7091 0.6332 0.8148 1
O18 0.7120 0.6254 0.1885 1
O19 0.7880 0.1254 0.6885 1
O20 0.7909 0.1332 0.3148 1
O21 0.8554 0.5617 0.4978 1
O22 0.8813 0.3401 0.0032 1
O23 0.9738 0.7383 0.2104 1
O24 0.9753 0.7348 0.7903 1
```

The 10 most intense peaks (10 to 90 degrees two-theta), most intense first:
- 30.04°, rel. 100
- 29.19°, rel. 71
- 28.53°, rel. 32
- 19.76°, rel. 24
- 33.45°, rel. 23
- 57.35°, rel. 22
- 15.85°, rel. 21
- 44.53°, rel. 21
- 57.73°, rel. 20
- 31.55°, rel. 19